1.
Structure and calculated X-ray diffraction stick pattern of CsH2ClO (the GGA-PBE geometry in Alexandria; copper Kα).
Kinematic intensities with the Lorentz-polarization factor, no thermal factor.

Crystal structure
```
data_CsH2ClO
_chemical_formula_sum 'Cs4 H8 Cl4 O4'
_space_group_name_H-M_alt 'C m c m'
_space_group_IT_number 63
_space_group_name_Hall '-C 2c 2'
_cell_length_a 6.9690
_cell_length_b 8.3919
_cell_length_c 7.7029
_cell_angle_alpha 90.00
_cell_angle_beta 90.00
_cell_angle_gamma 90.00
loop_
_atom_site_label
_atom_site_fract_x
_atom_site_fract_y
_atom_site_fract_z
Cs1 0.0000 0.1963 0.2500
H1 0.0000 0.4143 0.5867
Cl1 0.0000 0.2270 0.7500
O1 0.0000 0.5000 0.0000
```

Main lines, by angle (15 to 90 degrees two-theta):
d_spacing, intensity, (hkl)
4.400, 100, 1 1 1
4.196, 45, 0 2 0
3.851, 57, 0 0 2
3.484, 72, 2 0 0
2.837, 56, 0 2 2
2.681, 28, 2 2 0
2.596, 37, 1 3 0
2.584, 39, 2 0 2
2.200, 52, 2 2 2
2.152, 41, 1 3 2

2.
Structure and calculated X-ray diffraction stick pattern of Pr5Np3N8 (the GGA-PBE geometry in Alexandria; copper Kα).
Kinematic intensities with the Lorentz-polarization factor, no thermal factor.

Crystal structure
```
data_Pr5Np3N8
_chemical_formula_sum 'Pr15 Np9 N24'
_space_group_name_H-M_alt 'R -3 m'
_space_group_IT_number 166
_space_group_name_Hall '-R 3 2"'
_cell_length_a 7.1417
_cell_length_b 7.1417
_cell_length_c 17.6375
_cell_angle_alpha 90.00
_cell_angle_beta 90.00
_cell_angle_gamma 120.00
loop_
_atom_site_label
_atom_site_fract_x
_atom_site_fract_y
_atom_site_fract_z
Pr1 0.0000 0.0000 0.0000
Pr2 0.0000 0.0000 0.5000
Pr3 0.0000 0.5000 0.0000
Np1 0.0000 0.5000 0.5000
N1 0.0000 0.0000 0.2384
N2 0.0214 0.5107 0.7610
```

Main lines, by angle (15 to 90 degrees two-theta):
d_spacing, intensity, (hkl)
2.940, 34, 0 0 6
2.918, 100, 2 0 2
2.532, 93, 0 2 4
1.795, 32, 2 0 8
1.785, 32, 2 2 0
1.532, 16, 0 2 10
1.526, 31, 2 2 6
1.523, 15, 0 4 2
1.459, 16, 4 0 4
1.130, 15, 2 4 4

3.
Structure and calculated X-ray diffraction stick pattern of Pr6Y2Tm3 (the GGA-PBE geometry in Alexandria; copper Kα).
Kinematic intensities with the Lorentz-polarization factor, no thermal factor.

Crystal structure
```
data_Pr6Y2Tm3
_chemical_formula_sum 'Pr6 Y2 Tm3'
_space_group_name_H-M_alt 'P -1'
_space_group_IT_number 2
_space_group_name_Hall '-P 1'
_cell_length_a 6.2762
_cell_length_b 8.0850
_cell_length_c 8.1343
_cell_angle_alpha 107.32
_cell_angle_beta 97.42
_cell_angle_gamma 104.94
loop_
_atom_site_label
_atom_site_fract_x
_atom_site_fract_y
_atom_site_fract_z
Pr1 0.0471 0.1821 0.4092
Pr2 0.1362 0.5461 0.2316
Pr3 0.3217 0.2725 0.8650
Y1 0.2294 0.9113 0.0473
Tm1 0.4105 0.6389 0.6818
Tm2 0.5000 0.0000 0.5000
```

Main lines, by angle (15 to 90 degrees two-theta):
d_spacing, intensity, (hkl)
2.971, 34, 0 1 2
2.958, 100, 1 2 -1
2.568, 45, 2 0 1
2.559, 22, 1 -3 0
1.818, 16, 1 -1 4
1.812, 24, 1 3 1
1.551, 10, 2 1 3
1.548, 19, 3 0 -4
1.545, 19, 3 2 0
1.542, 9, 2 -5 2

4.
Structure and calculated X-ray diffraction stick pattern of Tb5DyIr4 (the GGA-PBE geometry in Alexandria; copper Kα).
Kinematic intensities with the Lorentz-polarization factor, no thermal factor.

Crystal structure
```
data_Tb5DyIr4
_chemical_formula_sum 'Tb10 Dy2 Ir8'
_space_group_name_H-M_alt 'C 1 2/m 1'
_space_group_IT_number 12
_space_group_name_Hall '-C 2y'
_cell_length_a 18.1249
_cell_length_b 4.2573
_cell_length_c 7.3868
_cell_angle_alpha 90.00
_cell_angle_beta 113.91
_cell_angle_gamma 90.00
loop_
_atom_site_label
_atom_site_fract_x
_atom_site_fract_y
_atom_site_fract_z
Tb1 0.0000 0.0000 0.0000
Tb2 0.1653 0.5000 0.4226
Tb3 0.1654 0.5000 0.9083
Dy1 0.0000 0.0000 0.5000
Ir1 0.0000 0.5000 0.2450
Ir2 0.1997 0.0000 0.6997
```

Main lines, by angle (15 to 90 degrees two-theta):
d_spacing, intensity, (hkl)
4.424, 15, 4 0 -1
3.690, 14, 1 1 -1
3.370, 15, 1 1 1
2.761, 43, 6 0 0
2.751, 100, 3 1 -2
2.134, 69, 3 1 2
2.129, 30, 0 2 0
1.847, 18, 4 0 -4
1.686, 24, 6 2 0
1.395, 14, 4 2 -4

5.
Structure and calculated X-ray diffraction stick pattern of Ce2H2Se (the GGA-PBE geometry in Alexandria; copper Kα).
Kinematic intensities with the Lorentz-polarization factor, no thermal factor.

Crystal structure
```
data_Ce2H2Se
_chemical_formula_sum 'Ce8 H8 Se4'
_space_group_name_H-M_alt 'C 1 2/c 1'
_space_group_IT_number 15
_space_group_name_Hall '-C 2yc'
_cell_length_a 9.8544
_cell_length_b 7.1978
_cell_length_c 6.7283
_cell_angle_alpha 90.00
_cell_angle_beta 132.80
_cell_angle_gamma 90.00
loop_
_atom_site_label
_atom_site_fract_x
_atom_site_fract_y
_atom_site_fract_z
Ce1 0.1680 0.1600 0.1817
H1 0.1269 0.1251 0.4888
Se1 0.0000 0.4614 0.7500
```

Main lines, by angle (15 to 90 degrees two-theta):
d_spacing, intensity, (hkl)
3.364, 18, 2 0 -2
2.910, 100, 0 2 1
2.904, 18, 2 2 -1
2.807, 27, 3 1 -2
2.468, 14, 0 0 2
2.457, 21, 2 2 -2
2.285, 17, 3 1 0
1.844, 14, 2 2 -3
1.839, 16, 4 2 -3
1.699, 14, 3 1 1

6.
Structure and calculated X-ray diffraction stick pattern of PuAgPbBr6 (the GGA-PBE geometry in Alexandria; copper Kα).
Kinematic intensities with the Lorentz-polarization factor, no thermal factor.

Crystal structure
```
data_PuAgPbBr6
_chemical_formula_sum 'Pu2 Ag2 Pb2 Br12'
_space_group_name_H-M_alt 'P 42 n m'
_space_group_IT_number 102
_space_group_name_Hall 'P 4n -2n'
_cell_length_a 6.9282
_cell_length_b 6.9282
_cell_length_c 13.3002
_cell_angle_alpha 90.00
_cell_angle_beta 90.00
_cell_angle_gamma 90.00
loop_
_atom_site_label
_atom_site_fract_x
_atom_site_fract_y
_atom_site_fract_z
Pu1 0.0000 0.0000 0.0000
Ag1 0.0000 0.0000 0.6655
Pb1 0.0000 0.0000 0.3334
Br1 0.1887 0.1887 0.8316
Br2 0.1995 0.1995 0.1590
Br3 0.2043 0.2043 0.5079
```

Main lines, by angle (15 to 90 degrees two-theta):
d_spacing, intensity, (hkl)
4.899, 100, 1 1 0
3.734, 44, 1 0 3
3.287, 41, 1 1 3
2.540, 97, 2 1 3
2.449, 35, 2 2 0
2.217, 19, 0 0 6
2.048, 52, 3 0 3
2.019, 21, 1 1 6
1.644, 20, 2 2 6
1.236, 19, 5 2 3